The following is a computed powder diffraction line list of TmHf4N5. It was derived from the GGA-PBE geometry in Alexandria, using Cu Kα (weighted mean of Kα1 and Kα2).

Most intense lines, 2θ = 10–90°, in order of falling intensity:
d [Å]	2θ/deg	intensity
2.645	33.9	100
2.291	39.3	68
1.620	56.8	46
1.381	67.9	29
1.323	71.3	15
1.383	67.8	14
1.144	84.7	5
1.147	84.4	2

Structure:
Lattice parameters (Å, degrees): 5.6088 5.6088 5.6088 99.63 99.63 131.71
Element x y z (fractional)
Tm 0.0000 0.0000 0.0000
Hf 0.2001 0.3987 0.5988
Hf 0.3987 0.7999 0.1987
Hf 0.6013 0.2001 0.8013
Hf 0.7999 0.6013 0.4012
N 0.1006 0.6931 0.7936
N 0.3069 0.1006 0.4075
N 0.5000 0.5000 0.0000
N 0.6931 0.8994 0.5925
N 0.8994 0.3069 0.2064

The following is a computed powder diffraction line list of YTmHf2N4. It was derived from the GGA-PBE geometry in Alexandria, using Cu Kα (weighted mean of Kα1 and Kα2).

Most intense lines, 2θ = 10–90°, in order of falling intensity:
d [Å]	2θ/deg	intensity
2.704	33.1	100
2.345	38.4	48
1.654	55.6	32
1.414	66.1	29
2.334	38.6	24
1.658	55.4	16
1.352	69.5	16
1.408	66.4	14
4.191	21.2	7
1.173	82.2	5

Structure:
Lattice parameters (Å, degrees): 5.7257 5.7257 5.7257 131.64 131.64 70.80
Element x y z (fractional)
Y 0.0000 0.0000 0.0000
Tm 0.7500 0.2500 0.5000
Hf 0.2500 0.7500 0.5000
Hf 0.5000 0.5000 0.0000
N 0.0075 0.5075 0.5000
N 0.2597 0.2597 0.0000
N 0.4925 0.9925 0.5000
N 0.7403 0.7403 0.0000